Structure and calculated XRD peak list of CaTeI (DFT lattice parameters and positions (PBE); Cu Kα (λ = 1.5418 Å)).

Top 6 peaks for 10° ≤ 2θ ≤ 80°, sorted by position:
- 2θ = 23.52°, intensity 30
- 2θ = 26.52°, intensity 100
- 2θ = 30.82°, intensity 67
- 2θ = 34.24°, intensity 29
- 2θ = 35.00°, intensity 28
- 2θ = 46.56°, intensity 30

Crystal structure
```
CaTeI
1.0
3.8316 -7.5655 0.0000
3.8316 7.5655 0.0000
-2.5812 0.0000 3.6967
Ca Te I
2 2 2
direct
0.1379 0.8621 0.0000
0.8621 0.1379 0.0000
0.2214 0.2214 0.7792
0.7786 0.7786 0.2208
0.2878 0.7122 0.5000
0.7122 0.2878 0.5000
```